Entry 1:
For LuTaOs2, a PBE-relaxed structure gives the calculated XRD peak list in this record (Cu Kα).

Peak list (2 most intense, 2θ from 5° to 70°, by intensity)
- 2θ = 39.25°, I = 100
- 2θ = 56.71°, I = 17

Crystal structure
```
4
Lattice="0.0000 3.2463 3.2463 3.2463 0.0000 3.2463 3.2463 3.2463 0.0000" Properties=species:S:1:pos:R:3 pbc="T T T"
Lu 0.0000 0.0000 0.0000
Ta 3.2463 3.2463 3.2463
Os 1.6231 1.6231 1.6231
Os 4.8694 4.8694 4.8694
```


Entry 2:
For Rb2ScSbS4, a PBE-relaxed structure gives the calculated XRD peak list in this record (Cu Kα).

Peak list (12 most intense, 2θ from 5° to 70°, by intensity)
- 2θ = 30.12°, I = 100
- 2θ = 43.12°, I = 44
- 2θ = 25.65°, I = 23
- 2θ = 26.35°, I = 20
- 2θ = 42.20°, I = 11
- 2θ = 43.99°, I = 11
- 2θ = 54.24°, I = 11
- 2θ = 52.72°, I = 11
- 2θ = 50.44°, I = 10
- 2θ = 62.61°, I = 9
- 2θ = 51.62°, I = 8
- 2θ = 13.09°, I = 7

Crystal structure
```
16
Lattice="-4.1171 4.2832 5.9320 4.1171 -4.2832 5.9320 4.1171 4.2832 -5.9320" Properties=species:S:1:pos:R:3 pbc="T T T"
Rb 0.0000 0.0000 0.0000
Rb -2.0586 2.1416 2.9660
Rb 0.0000 4.2832 0.0000
Rb 2.0586 2.1416 2.9660
Sc 2.0586 2.1416 -2.9660
Sc 2.0586 -2.1416 2.9660
Sb 4.1171 0.0000 0.0000
Sb 0.0000 0.0000 5.9320
S 4.1171 -0.4049 2.7880
S 4.1171 3.8783 -2.7880
S 2.3005 2.1416 -0.3133
S 5.9338 2.1416 -0.3133
S -1.8167 2.1416 6.2453
S 1.8167 2.1416 6.2453
S 0.0000 0.4049 8.7200
S 0.0000 4.6881 3.1440
```


Entry 3:
For FeNi4Rh, a PBE-relaxed structure gives the calculated XRD peak list in this record (Cu Kα).

Peak list (12 most intense, 2θ from 5° to 70°, by intensity)
- 2θ = 46.55°, I = 100
- 2θ = 46.41°, I = 49
- 2θ = 43.79°, I = 40
- 2θ = 40.78°, I = 25
- 2θ = 61.38°, I = 14
- 2θ = 40.62°, I = 13
- 2θ = 61.25°, I = 7
- 2θ = 31.82°, I = 7
- 2θ = 23.17°, I = 5
- 2θ = 21.49°, I = 3
- 2θ = 50.11°, I = 1
- 2θ = 47.32°, I = 1

Crystal structure
```
6
Lattice="4.1347 0.0000 0.0000 0.0000 3.8273 2.2211 0.0000 -3.8273 2.2211" Properties=species:S:1:pos:R:3 pbc="T T T"
Fe 0.0000 0.0000 0.0000
Ni 0.0000 -1.3127 2.1595
Ni 0.0000 1.3127 2.1595
Ni 2.0674 -2.5399 2.9201
Ni 2.0674 2.5399 2.9201
Rh 2.0674 0.0000 2.8961
```


Entry 4:
For Li12Tl2Hg, a PBE-relaxed structure gives the calculated XRD peak list in this record (Cu Kα).

Peak list (12 most intense, 2θ from 5° to 70°, by intensity)
- 2θ = 22.85°, I = 100
- 2θ = 12.87°, I = 97
- 2θ = 26.31°, I = 79
- 2θ = 28.74°, I = 73
- 2θ = 38.30°, I = 61
- 2θ = 17.19°, I = 57
- 2θ = 32.54°, I = 42
- 2θ = 35.12°, I = 41
- 2θ = 37.03°, I = 40
- 2θ = 54.34°, I = 37
- 2θ = 45.07°, I = 34
- 2θ = 55.72°, I = 32

Crystal structure
```
30
Lattice="5.5035 0.0000 0.0000 0.0000 5.5035 0.0000 0.0000 0.0000 20.6353" Properties=species:S:1:pos:R:3 pbc="T T T"
Li 0.0006 5.5029 1.9718
Li 5.5029 0.0006 18.6634
Li 5.5029 2.7512 1.9718
Li 0.0006 2.7523 18.6634
Li 0.3853 3.1371 9.0699
Li 0.3853 5.1182 11.5654
Li 1.3759 1.3759 4.2955
Li 1.3759 1.3759 6.9819
Li 1.3759 1.3759 13.6533
Li 1.3759 1.3759 16.3397
Li 2.3665 3.1371 11.5654
Li 2.3665 5.1182 9.0699
Li 2.7523 0.0006 1.9718
Li 2.7512 5.5029 18.6634
Li 2.7512 2.7523 1.9718
Li 2.7523 2.7512 18.6634
Li 3.1371 0.3853 11.5654
Li 3.1371 2.3665 9.0699
Li 4.1276 4.1276 4.2955
Li 4.1276 4.1276 6.9819
Li 4.1276 4.1276 13.6533
Li 4.1276 4.1276 16.3397
Li 5.1182 0.3853 9.0699
Li 5.1182 2.3665 11.5654
Tl 1.3759 4.1276 5.8568
Tl 1.3759 4.1276 14.7784
Tl 4.1276 1.3759 5.8568
Tl 4.1276 1.3759 14.7784
Hg 1.3759 4.1276 0.0000
Hg 4.1276 1.3759 0.0000
```


Entry 5:
For CsRb14S, a PBE-relaxed structure gives the calculated XRD peak list in this record (Cu Kα).

Peak list (12 most intense, 2θ from 5° to 70°, by intensity)
- 2θ = 22.37°, I = 100
- 2θ = 22.07°, I = 37
- 2θ = 38.91°, I = 25
- 2θ = 45.67°, I = 15
- 2θ = 20.64°, I = 13
- 2θ = 39.45°, I = 11
- 2θ = 7.08°, I = 10
- 2θ = 62.05°, I = 10
- 2θ = 28.59°, I = 9
- 2θ = 44.53°, I = 9
- 2θ = 26.61°, I = 9
- 2θ = 36.41°, I = 9

Crystal structure
```
16
Lattice="12.4900 0.0000 0.0000 0.0000 6.6988 8.0553 0.0000 -6.6988 8.0553" Properties=species:S:1:pos:R:3 pbc="T T T"
Cs 0.0000 0.0000 0.0000
Rb 0.0000 -2.9894 11.9237
Rb 0.0000 2.9894 11.9237
Rb 2.1343 -2.1583 8.2060
Rb 2.1343 2.1583 8.2060
Rb 2.8530 0.0000 12.0258
Rb 3.0599 0.0000 3.7520
Rb 6.2450 0.0000 7.7326
Rb 6.2450 -3.2359 11.8269
Rb 6.2450 3.2359 11.8269
Rb 6.2450 0.0000 15.9180
Rb 9.4301 0.0000 3.7520
Rb 9.6370 0.0000 12.0258
Rb 10.3557 -2.1583 8.2060
Rb 10.3557 2.1583 8.2060
S 0.0000 0.0000 10.1260
```


Entry 6:
For AgH11Pt5, a PBE-relaxed structure gives the calculated XRD peak list in this record (Cu Kα).

Peak list (12 most intense, 2θ from 5° to 70°, by intensity)
- 2θ = 21.84°, I = 100
- 2θ = 23.64°, I = 55
- 2θ = 34.12°, I = 45
- 2θ = 37.45°, I = 45
- 2θ = 37.68°, I = 34
- 2θ = 40.28°, I = 33
- 2θ = 40.04°, I = 33
- 2θ = 49.43°, I = 32
- 2θ = 36.45°, I = 31
- 2θ = 45.89°, I = 31
- 2θ = 42.42°, I = 26
- 2θ = 36.78°, I = 25

Crystal structure
```
17
Lattice="2.8652 -4.8674 0.0000 2.8652 4.8674 0.0000 -0.9950 0.0000 5.9321" Properties=species:S:1:pos:R:3 pbc="T T T"
Ag 0.0000 0.0000 0.0000
H -0.4975 0.0000 2.9661
H 1.5554 2.8644 3.9079
H 0.8816 1.4607 5.6121
H 3.1800 2.8644 2.0242
H 1.6624 0.0000 4.0068
H 0.8816 -1.4607 5.6121
H 3.8538 1.4607 0.3200
H 3.0730 0.0000 1.9253
H 1.5554 -2.8644 3.9079
H 3.8538 -1.4607 0.3200
H 3.1800 -2.8644 2.0242
Pt 0.5347 1.4422 3.9077
Pt 0.5347 -1.4422 3.9077
Pt 2.8652 0.0000 0.0000
Pt 4.2007 1.4422 2.0244
Pt 4.2007 -1.4422 2.0244
```


Entry 7:
For BC3, a PBE-relaxed structure gives the calculated XRD peak list in this record (Cu Kα).

Peak list (8 most intense, 2θ from 5° to 70°, by intensity)
- 2θ = 42.74°, I = 100
- 2θ = 7.58°, I = 12
- 2θ = 15.20°, I = 6
- 2θ = 30.67°, I = 1
- 2θ = 47.68°, I = 1
- 2θ = 22.88°, I = 1
- 2θ = 53.52°, I = 1
- 2θ = 36.44°, I = 1

Crystal structure
```
12
Lattice="2.5202 0.0000 0.0000 0.0000 2.5245 0.0000 0.0000 0.0000 11.6594" Properties=species:S:1:pos:R:3 pbc="T T T"
B 0.0000 0.0000 0.0000
B 0.0000 0.0000 3.9134
B 1.2601 1.2622 5.9492
C 0.0000 0.0000 7.9106
C 0.0000 1.2622 1.0432
C 0.0000 1.2622 4.9258
C 0.0000 1.2622 8.8234
C 1.2601 0.0000 2.8093
C 1.2601 0.0000 7.0503
C 1.2601 0.0000 10.5982
C 1.2601 1.2622 1.9314
C 1.2601 1.2622 9.7334
```


Entry 8:
For LiHgBi3, a PBE-relaxed structure gives the calculated XRD peak list in this record (Cu Kα).

Peak list (12 most intense, 2θ from 5° to 70°, by intensity)
- 2θ = 32.40°, I = 100
- 2θ = 33.31°, I = 89
- 2θ = 19.68°, I = 81
- 2θ = 26.92°, I = 60
- 2θ = 24.87°, I = 56
- 2θ = 39.29°, I = 52
- 2θ = 29.43°, I = 49
- 2θ = 38.54°, I = 47
- 2θ = 36.86°, I = 44
- 2θ = 37.40°, I = 44
- 2θ = 28.28°, I = 44
- 2θ = 21.84°, I = 41

Crystal structure
```
5
Lattice="4.5661 0.0000 0.0000 0.1119 4.9374 0.0000 1.1052 1.5968 6.8801" Properties=species:S:1:pos:R:3 pbc="T T T"
Li 0.0000 0.0000 0.0000
Hg 3.4190 1.6401 5.0521
Bi 1.0989 1.1955 2.7569
Bi 2.3283 2.5557 0.0814
Bi 3.4189 3.9325 2.7371
```